(1)
Starting from the PBE geometry in Alexandria, the powder XRD pattern of Sm5Al2Ge4 was computed for copper Kα.
Intensities are scaled so that the largest is 100.

Main lines, by angle (2θ from 10° to 90°):
- d = 3.498 Å, 25.46°, rel. 78
- d = 3.476 Å, 25.63°, rel. 35
- d = 3.094 Å, 28.86°, rel. 71
- d = 2.768 Å, 32.34°, rel. 41
- d = 2.721 Å, 32.92°, rel. 36
- d = 2.700 Å, 33.18°, rel. 100
- d = 2.313 Å, 38.94°, rel. 50
- d = 2.248 Å, 40.11°, rel. 37
- d = 2.120 Å, 42.64°, rel. 48
- d = 1.749 Å, 52.31°, rel. 28

Structure:
Cell lengths 9.874, 9.874, 7.333 Å; angles 105.38, 105.38, 24.80 degrees
Fractional positions:
Sm: 0.000 0.000 0.000
Sm: 0.337 0.337 0.058
Sm: 0.345 0.345 0.578
Sm: 0.655 0.655 0.422
Sm: 0.663 0.663 0.942
Al: 0.075 0.075 0.632
Al: 0.925 0.925 0.368
Ge: 0.211 0.211 0.711
Ge: 0.490 0.490 0.295
Ge: 0.510 0.510 0.705
Ge: 0.789 0.789 0.289

---

(2)
Starting from the PBE geometry in Alexandria, the powder XRD pattern of Ba5TlHg2 was computed for copper Kα.
Intensities are scaled so that the largest is 100.

Main lines, by angle (2θ from 10° to 90°):
- d = 5.085 Å, 17.44°, rel. 17
- d = 3.343 Å, 26.66°, rel. 13
- d = 3.286 Å, 27.14°, rel. 100
- d = 3.016 Å, 29.62°, rel. 28
- d = 2.990 Å, 29.88°, rel. 60
- d = 2.517 Å, 35.67°, rel. 15
- d = 2.100 Å, 43.08°, rel. 9
- d = 1.676 Å, 54.77°, rel. 13
- d = 1.664 Å, 55.19°, rel. 16
- d = 1.638 Å, 56.15°, rel. 15

Structure:
Cell lengths 10.297, 10.297, 10.297 Å; angles 125.33, 125.33, 80.99 degrees
Fractional positions:
Ba: 0.000 0.000 0.000
Ba: 0.020 0.520 0.829
Ba: 0.192 0.020 0.500
Ba: 0.308 0.808 0.829
Ba: 0.480 0.308 0.500
Ba: 0.500 0.500 0.000
Ba: 0.520 0.692 0.500
Ba: 0.692 0.192 0.171
Ba: 0.808 0.980 0.500
Ba: 0.980 0.480 0.171
Tl: 0.250 0.250 0.000
Tl: 0.750 0.750 0.000
Hg: 0.128 0.372 0.500
Hg: 0.372 0.872 0.244
Hg: 0.628 0.128 0.756
Hg: 0.872 0.628 0.500

---

(3)
Starting from the PBE geometry in Alexandria, the powder XRD pattern of Ba2Li12Cd7 was computed for copper Kα.
Intensities are scaled so that the largest is 100.

Main lines, by angle (2θ from 10° to 90°):
- d = 5.363 Å, 16.53°, rel. 23
- d = 4.268 Å, 20.81°, rel. 25
- d = 3.579 Å, 24.88°, rel. 30
- d = 3.511 Å, 25.37°, rel. 28
- d = 3.340 Å, 26.69°, rel. 100
- d = 2.835 Å, 31.56°, rel. 37
- d = 2.682 Å, 33.41°, rel. 30
- d = 2.403 Å, 37.43°, rel. 24
- d = 2.342 Å, 38.44°, rel. 37
- d = 1.649 Å, 55.75°, rel. 28

Structure:
Cell lengths 10.726, 10.726, 4.805 Å; angles 90.00, 90.00, 120.00 degrees
Fractional positions:
Ba: 0.000 0.000 0.000
Ba: 0.333 0.667 0.500
Li: 0.179 0.377 0.000
Li: 0.199 0.821 0.000
Li: 0.311 0.297 0.500
Li: 0.375 0.174 0.000
Li: 0.545 0.163 0.500
Li: 0.619 0.455 0.500
Li: 0.623 0.801 0.000
Li: 0.703 0.014 0.500
Li: 0.799 0.625 0.000
Li: 0.826 0.201 0.000
Li: 0.837 0.381 0.500
Li: 0.986 0.689 0.500
Cd: 0.003 0.515 0.000
Cd: 0.019 0.274 0.500
Cd: 0.256 0.981 0.500
Cd: 0.485 0.488 0.000
Cd: 0.512 0.997 0.000
Cd: 0.667 0.333 0.000
Cd: 0.726 0.744 0.500

---

(4)
Starting from the PBE geometry in Alexandria, the powder XRD pattern of BaAc8 was computed for copper Kα.
Intensities are scaled so that the largest is 100.

Main lines, by angle (2θ from 10° to 90°):
- d = 3.294 Å, 27.07°, rel. 100
- d = 2.853 Å, 31.35°, rel. 52
- d = 2.018 Å, 44.92°, rel. 33
- d = 1.721 Å, 53.23°, rel. 40
- d = 1.718 Å, 53.32°, rel. 8
- d = 1.648 Å, 55.79°, rel. 10
- d = 1.310 Å, 72.12°, rel. 13
- d = 1.276 Å, 74.34°, rel. 12
- d = 1.165 Å, 82.83°, rel. 8
- d = 1.098 Å, 89.21°, rel. 7

Structure:
Cell lengths 6.992, 6.992, 9.870 Å; angles 90.06, 90.06, 119.99 degrees
Fractional positions:
Ba: 0.000 0.000 0.000
Ac: 0.000 0.340 0.663
Ac: 0.000 0.660 0.337
Ac: 0.333 0.667 0.000
Ac: 0.340 0.000 0.663
Ac: 0.340 0.340 0.338
Ac: 0.660 0.000 0.337
Ac: 0.660 0.660 0.662
Ac: 0.667 0.333 0.000